Structure and computed X-ray powder pattern of CsAg2Sb2Se6 (a DFT-relaxed cell (PBE, Alexandria); Cu Kα, 1.54184 Å).
Kinematic intensities with the Lorentz-polarization factor, no thermal factor.

The 6 most intense peaks (5 to 70 degrees two-theta), in order of rising 2θ:
2θ (°), I/Imax
10.87, 66
11.94, 39
18.50, 43
20.61, 100
23.92, 87
33.04, 42

Atomic structure:
```
CsAg2Sb2Se6
1.0
7.088 0.000 0.000
0.023 7.448 0.000
3.538 0.780 8.140
Cs Ag Sb Se
1 2 2 6
Direct
0.000 0.000 0.000
0.341 0.472 0.314
0.659 0.528 0.686
0.290 0.957 0.421
0.710 0.043 0.579
0.066 0.220 0.351
0.417 0.786 0.168
0.418 0.780 0.649
0.582 0.220 0.351
0.583 0.214 0.832
0.934 0.780 0.649
```

=====

Structure and computed X-ray powder pattern of CsAg5Se3 (a DFT-relaxed cell (PBE, Alexandria); Cu Kα, 1.54184 Å).
Kinematic intensities with the Lorentz-polarization factor, no thermal factor.

The 6 most intense peaks (5 to 70 degrees two-theta), in order of rising 2θ:
2θ (°), I/Imax
8.74, 70
28.12, 43
32.73, 100
37.37, 98
40.52, 54
44.96, 55

Atomic structure:
```
CsAg5Se3
1.0
14.302 0.000 0.000
0.000 14.302 0.000
0.000 0.000 4.453
Cs Ag Se
4 20 12
Direct
0.115 0.115 0.000
0.385 0.615 0.500
0.615 0.385 0.500
0.885 0.885 0.000
0.017 0.392 0.000
0.076 0.718 0.500
0.108 0.517 0.500
0.175 0.825 0.000
0.218 0.424 0.000
0.282 0.924 0.500
0.325 0.325 0.500
0.392 0.017 0.000
0.424 0.218 0.000
0.483 0.892 0.500
0.517 0.108 0.500
0.576 0.782 0.000
0.608 0.983 0.000
0.675 0.675 0.500
0.718 0.076 0.500
0.782 0.576 0.000
0.825 0.175 0.000
0.892 0.483 0.500
0.924 0.282 0.500
0.983 0.608 0.000
0.099 0.901 0.500
0.118 0.330 0.500
0.170 0.618 0.000
0.330 0.118 0.500
0.382 0.830 0.000
0.401 0.401 0.000
0.599 0.599 0.000
0.618 0.170 0.000
0.670 0.882 0.500
0.830 0.382 0.000
0.882 0.670 0.500
0.901 0.099 0.500
```

=====

Please write out number 2 again, unchanged.
Structure and computed X-ray powder pattern of CsAg5Se3 (a DFT-relaxed cell (PBE, Alexandria); Cu Kα, 1.54184 Å).
Kinematic intensities with the Lorentz-polarization factor, no thermal factor.

The 6 most intense peaks (5 to 70 degrees two-theta), in order of rising 2θ:
2θ (°), I/Imax
8.74, 70
28.12, 43
32.73, 100
37.37, 98
40.52, 54
44.96, 55

Atomic structure:
```
CsAg5Se3
1.0
14.302 0.000 0.000
0.000 14.302 0.000
0.000 0.000 4.453
Cs Ag Se
4 20 12
Direct
0.115 0.115 0.000
0.385 0.615 0.500
0.615 0.385 0.500
0.885 0.885 0.000
0.017 0.392 0.000
0.076 0.718 0.500
0.108 0.517 0.500
0.175 0.825 0.000
0.218 0.424 0.000
0.282 0.924 0.500
0.325 0.325 0.500
0.392 0.017 0.000
0.424 0.218 0.000
0.483 0.892 0.500
0.517 0.108 0.500
0.576 0.782 0.000
0.608 0.983 0.000
0.675 0.675 0.500
0.718 0.076 0.500
0.782 0.576 0.000
0.825 0.175 0.000
0.892 0.483 0.500
0.924 0.282 0.500
0.983 0.608 0.000
0.099 0.901 0.500
0.118 0.330 0.500
0.170 0.618 0.000
0.330 0.118 0.500
0.382 0.830 0.000
0.401 0.401 0.000
0.599 0.599 0.000
0.618 0.170 0.000
0.670 0.882 0.500
0.830 0.382 0.000
0.882 0.670 0.500
0.901 0.099 0.500
```